Record 1
Starting from the PBE geometry in Alexandria, the powder XRD pattern of PbCI3N was simulated for Cu Kα X-rays.

The 12 most intense peaks (10 to 90 degrees two-theta), in order of falling intensity:
2θ = 15.03°, d 5.893, rel. 100.0; 2θ = 30.33°, d 2.947, rel. 77.6; 2θ = 34.43°, d 2.605, rel. 65.4; 2θ = 25.20°, d 3.535, rel. 53.5; 2θ = 13.27°, d 6.673, rel. 44.7; 2θ = 30.80°, d 2.903, rel. 35.0; 2θ = 43.44°, d 2.083, rel. 34.7; 2θ = 56.56°, d 1.627, rel. 31.2; 2θ = 34.02°, d 2.636, rel. 29.1; 2θ = 46.25°, d 1.963, rel. 29.1; 2θ = 43.77°, d 2.068, rel. 27.3; 2θ = 65.31°, d 1.429, rel. 21.0

Structural model:
```
data_PbCI3N
_symmetry_space_group_name_H-M 'P 1'
_symmetry_Int_Tables_number 1
_cell_length_a 5.893
_cell_length_b 5.893
_cell_length_c 6.673
_cell_angle_alpha 90.00
_cell_angle_beta 90.00
_cell_angle_gamma 90.00
loop_
_symmetry_equiv_pos_as_xyz
'x,y,z'
loop_
_atom_site_label
_atom_site_fract_x
_atom_site_fract_y
_atom_site_fract_z
_atom_site_occupancy
Pb1 0.000 0.000 0.000 1
C1 0.500 0.500 0.418 1
I1 0.000 0.000 0.563 1
I2 0.000 0.500 0.176 1
I3 0.500 0.000 0.176 1
N1 0.500 0.500 0.595 1
```

Record 2
Starting from the PBE geometry in Alexandria, the powder XRD pattern of Pm8C3I3N was simulated for Cu Kα X-rays.

The 12 most intense peaks (10 to 90 degrees two-theta), in order of falling intensity:
2θ = 31.33°, d 2.855, rel. 100.0; 2θ = 33.49°, d 2.676, rel. 61.6; 2θ = 47.90°, d 1.899, rel. 41.4; 2θ = 60.75°, d 1.525, rel. 36.4; 2θ = 28.22°, d 3.163, rel. 33.3; 2θ = 35.09°, d 2.557, rel. 29.4; 2θ = 27.39°, d 3.256, rel. 20.0; 2θ = 58.36°, d 1.581, rel. 16.6; 2θ = 59.28°, d 1.559, rel. 16.2; 2θ = 38.73°, d 2.325, rel. 15.9; 2θ = 41.71°, d 2.165, rel. 13.9; 2θ = 78.75°, d 1.215, rel. 13.8

Structural model:
```
data_Pm8C3I3N
_symmetry_space_group_name_H-M 'P 1'
_symmetry_Int_Tables_number 1
_cell_length_a 7.594
_cell_length_b 7.594
_cell_length_c 8.834
_cell_angle_alpha 115.43
_cell_angle_beta 115.43
_cell_angle_gamma 60.06
loop_
_symmetry_equiv_pos_as_xyz
'x,y,z'
loop_
_atom_site_label
_atom_site_fract_x
_atom_site_fract_y
_atom_site_fract_z
_atom_site_occupancy
Pm1 0.224 0.224 0.674 1
Pm2 0.224 0.726 0.674 1
Pm3 0.274 0.776 0.326 1
Pm4 0.276 0.276 0.327 1
Pm5 0.724 0.724 0.673 1
Pm6 0.726 0.224 0.674 1
Pm7 0.776 0.274 0.326 1
Pm8 0.776 0.776 0.326 1
C1 0.000 0.500 0.500 1
C2 0.500 0.000 0.500 1
C3 0.500 0.500 0.500 1
I1 0.000 0.000 0.000 1
I2 0.000 0.500 0.000 1
I3 0.500 0.000 0.000 1
N1 0.000 0.000 0.500 1
```

Record 3
Starting from the PBE geometry in Alexandria, the powder XRD pattern of TaCIN2 was simulated for Cu Kα X-rays.

The 12 most intense peaks (10 to 90 degrees two-theta), in order of falling intensity:
2θ = 22.50°, d 3.952, rel. 100.0; 2θ = 37.41°, d 2.404, rel. 54.6; 2θ = 32.03°, d 2.794, rel. 39.7; 2θ = 29.49°, d 3.029, rel. 35.5; 2θ = 44.10°, d 2.054, rel. 33.3; 2θ = 60.67°, d 1.526, rel. 27.1; 2θ = 55.53°, d 1.655, rel. 22.6; 2θ = 51.73°, d 1.767, rel. 21.8; 2θ = 45.93°, d 1.976, rel. 20.2; 2θ = 84.20°, d 1.150, rel. 11.3; 2θ = 66.08°, d 1.414, rel. 11.1; 2θ = 83.73°, d 1.155, rel. 11.0

Structural model:
```
data_TaCIN2
_symmetry_space_group_name_H-M 'P 1'
_symmetry_Int_Tables_number 1
_cell_length_a 3.952
_cell_length_b 3.952
_cell_length_c 6.057
_cell_angle_alpha 90.00
_cell_angle_beta 90.00
_cell_angle_gamma 90.00
loop_
_symmetry_equiv_pos_as_xyz
'x,y,z'
loop_
_atom_site_label
_atom_site_fract_x
_atom_site_fract_y
_atom_site_fract_z
_atom_site_occupancy
Ta1 0.000 0.000 0.000 1
C1 0.500 0.500 0.500 1
I1 0.000 0.000 0.500 1
N1 0.000 0.500 0.000 1
N2 0.500 0.000 0.000 1
```